# 1
Theoretical X-ray diffraction stick pattern of Dy2Fe17H3 for CuKα, from a cell relaxed with PBE.
Peak positions follow from Bragg's law for the DFT cell and can differ from measured ones.

Largest 10 diffraction maxima, sorted by position, 2θ from 10° to 90°:
two_theta, d/Å, I_rel
30.13, 2.966, 44
36.35, 2.472, 41
40.94, 2.204, 34
42.22, 2.141, 66
42.68, 2.118, 100
44.04, 2.056, 33
46.33, 1.960, 18
61.60, 1.506, 20
62.65, 1.483, 19
80.06, 1.199, 24

Structural model:
Cell lengths 8.562, 8.562, 8.225 Å; angles 90.00, 90.00, 120.00 degrees
Element x y z (fractional)
Dy 0.000 0.000 0.250
Dy 0.000 0.000 0.750
Dy 0.333 0.667 0.250
Dy 0.667 0.333 0.750
Fe 0.000 0.500 0.000
Fe 0.000 0.500 0.500
Fe 0.048 0.377 0.750
Fe 0.048 0.671 0.750
Fe 0.167 0.333 0.016
Fe 0.167 0.333 0.484
Fe 0.167 0.833 0.016
Fe 0.167 0.833 0.484
Fe 0.329 0.377 0.750
Fe 0.329 0.952 0.750
Fe 0.333 0.167 0.516
Fe 0.333 0.167 0.984
Fe 0.333 0.667 0.605
Fe 0.333 0.667 0.895
Fe 0.377 0.048 0.250
Fe 0.377 0.329 0.250
Fe 0.500 0.000 0.000
Fe 0.500 0.000 0.500
Fe 0.500 0.500 0.000
Fe 0.500 0.500 0.500
Fe 0.623 0.671 0.750
Fe 0.623 0.952 0.750
Fe 0.667 0.333 0.105
Fe 0.667 0.333 0.395
Fe 0.667 0.833 0.016
Fe 0.667 0.833 0.484
Fe 0.671 0.048 0.250
Fe 0.671 0.623 0.250
Fe 0.833 0.167 0.516
Fe 0.833 0.167 0.984
Fe 0.833 0.667 0.516
Fe 0.833 0.667 0.984
Fe 0.952 0.329 0.250
Fe 0.952 0.623 0.250
H 0.165 0.330 0.250
H 0.165 0.835 0.250
H 0.330 0.165 0.750
H 0.670 0.835 0.250
H 0.835 0.165 0.750
H 0.835 0.670 0.750

=====

# 2
Theoretical X-ray diffraction stick pattern of Ti2Cr4Si5 for CuKα, from a cell relaxed with PBE.
Peak positions follow from Bragg's law for the DFT cell and can differ from measured ones.

Largest 10 diffraction maxima, sorted by position, 2θ from 10° to 90°:
two_theta, d/Å, I_rel
37.50, 2.399, 27
40.20, 2.243, 54
41.01, 2.201, 66
41.92, 2.155, 45
42.05, 2.149, 76
42.60, 2.122, 100
43.21, 2.094, 98
44.96, 2.016, 60
51.62, 1.771, 28
88.75, 1.102, 34

Structural model:
Cell lengths 9.039, 9.039, 9.039 Å; angles 131.38, 58.66, 149.22 degrees
Element x y z (fractional)
Ti 0.142 0.116 0.258
Ti 0.358 0.616 0.975
Ti 0.642 0.384 0.025
Ti 0.858 0.884 0.742
Cr 0.057 0.750 0.307
Cr 0.063 0.748 0.812
Cr 0.437 0.248 0.685
Cr 0.443 0.750 0.693
Cr 0.557 0.250 0.307
Cr 0.563 0.752 0.315
Cr 0.937 0.252 0.188
Cr 0.943 0.250 0.693
Si 0.065 0.419 0.484
Si 0.212 0.793 0.005
Si 0.250 0.250 0.000
Si 0.288 0.293 0.582
Si 0.435 0.919 0.354
Si 0.565 0.081 0.646
Si 0.712 0.707 0.418
Si 0.750 0.750 0.000
Si 0.788 0.207 0.995
Si 0.935 0.581 0.516

=====

# 3
Theoretical X-ray diffraction stick pattern of SrIn3 for CuKα, from a cell relaxed with PBE.
Peak positions follow from Bragg's law for the DFT cell and can differ from measured ones.

Largest 10 diffraction maxima, sorted by position, 2θ from 10° to 90°:
two_theta, d/Å, I_rel
28.77, 3.103, 25
33.53, 2.672, 100
34.12, 2.628, 22
45.21, 2.006, 14
50.97, 1.792, 18
60.70, 1.526, 17
62.40, 1.488, 14
62.76, 1.480, 19
83.16, 1.162, 6
84.66, 1.145, 11

Structural model:
Cell lengths 7.167, 7.167, 5.256 Å; angles 90.00, 90.00, 120.00 degrees
Element x y z (fractional)
Sr 0.333 0.667 0.250
Sr 0.667 0.333 0.750
In 0.155 0.310 0.750
In 0.155 0.845 0.750
In 0.310 0.155 0.250
In 0.690 0.845 0.750
In 0.845 0.155 0.250
In 0.845 0.690 0.250

=====

# 4
Theoretical X-ray diffraction stick pattern of Na3CaGeP3O12 for CuKα, from a cell relaxed with PBE.
Peak positions follow from Bragg's law for the DFT cell and can differ from measured ones.

Largest 10 diffraction maxima, sorted by position, 2θ from 10° to 90°:
two_theta, d/Å, I_rel
13.90, 6.369, 69
19.53, 4.544, 47
19.95, 4.450, 64
23.01, 3.865, 48
23.18, 3.837, 69
27.98, 3.188, 35
31.50, 2.840, 40
31.73, 2.820, 100
34.09, 2.630, 37
34.22, 2.621, 70

Structural model:
Cell lengths 8.902, 8.902, 8.975 Å; angles 118.81, 118.81, 61.23 degrees
Element x y z (fractional)
Na 0.062 0.938 0.500
Na 0.198 0.653 0.054
Na 0.570 0.780 0.308
Na 0.653 0.198 0.554
Na 0.780 0.570 0.808
Na 0.938 0.062 0.000
Ca 0.326 0.820 0.928
Ca 0.820 0.326 0.428
Ge 0.046 0.522 0.213
Ge 0.522 0.046 0.713
P 0.150 0.232 0.850
P 0.232 0.150 0.350
P 0.403 0.653 0.515
P 0.653 0.403 0.015
P 0.740 0.903 0.116
P 0.903 0.740 0.616
O 0.048 0.784 0.798
O 0.083 0.161 0.392
O 0.146 0.410 0.019
O 0.161 0.083 0.892
O 0.186 0.320 0.299
O 0.235 0.638 0.334
O 0.272 0.972 0.196
O 0.320 0.186 0.799
O 0.338 0.704 0.664
O 0.410 0.146 0.519
O 0.448 0.820 0.540
O 0.477 0.561 0.003
O 0.561 0.477 0.503
O 0.595 0.846 0.094
O 0.638 0.235 0.834
O 0.702 0.947 0.947
O 0.704 0.338 0.164
O 0.726 0.921 0.614
O 0.784 0.048 0.298
O 0.820 0.448 0.040
O 0.846 0.595 0.594
O 0.921 0.726 0.114
O 0.947 0.702 0.447
O 0.972 0.272 0.696

=====

# 5
Theoretical X-ray diffraction stick pattern of GdAgSn2 for CuKα, from a cell relaxed with PBE.
Peak positions follow from Bragg's law for the DFT cell and can differ from measured ones.

Largest 10 diffraction maxima, sorted by position, 2θ from 10° to 90°:
two_theta, d/Å, I_rel
33.80, 2.652, 100
38.34, 2.347, 36
40.94, 2.204, 15
55.35, 1.660, 12
57.34, 1.607, 22
66.45, 1.407, 28
70.02, 1.344, 12
71.10, 1.326, 12
82.12, 1.174, 4
88.77, 1.102, 2

Structural model:
Cell lengths 4.695, 4.695, 4.408 Å; angles 90.00, 90.00, 90.00 degrees
Element x y z (fractional)
Gd 0.000 0.000 0.000
Ag 0.500 0.500 0.000
Sn 0.000 0.500 0.500
Sn 0.500 0.000 0.500

=====

# 6
Theoretical X-ray diffraction stick pattern of FeN2Cl2 for CuKα, from a cell relaxed with PBE.
Peak positions follow from Bragg's law for the DFT cell and can differ from measured ones.

Largest 10 diffraction maxima, sorted by position, 2θ from 10° to 90°:
two_theta, d/Å, I_rel
16.94, 5.234, 100
22.87, 3.889, 43
31.01, 2.884, 18
36.34, 2.472, 50
43.37, 2.086, 26
46.71, 1.944, 11
48.15, 1.890, 19
52.99, 1.728, 8
60.58, 1.528, 16
67.27, 1.392, 7

Structural model:
Cell lengths 7.076, 7.778, 3.456 Å; angles 90.00, 90.00, 90.00 degrees
Element x y z (fractional)
Fe 0.000 0.000 0.000
Fe 0.500 0.500 0.000
N 0.000 0.216 0.000
N 0.000 0.784 0.000
N 0.500 0.284 0.000
N 0.500 0.716 0.000
Cl 0.219 0.000 0.500
Cl 0.281 0.500 0.500
Cl 0.719 0.500 0.500
Cl 0.781 0.000 0.500

=====

# 7
Theoretical X-ray diffraction stick pattern of Nb2ReO8 for CuKα, from a cell relaxed with PBE.
Peak positions follow from Bragg's law for the DFT cell and can differ from measured ones.

Largest 10 diffraction maxima, sorted by position, 2θ from 10° to 90°:
two_theta, d/Å, I_rel
19.56, 4.537, 75
25.98, 3.430, 100
26.18, 3.404, 93
26.45, 3.370, 30
26.57, 3.354, 35
31.51, 2.839, 37
31.79, 2.814, 31
33.84, 2.649, 34
49.85, 1.829, 41
50.17, 1.818, 36

Structural model:
Cell lengths 10.525, 10.525, 5.193 Å; angles 90.62, 90.62, 34.03 degrees
Element x y z (fractional)
Nb 0.051 0.686 0.756
Nb 0.314 0.949 0.744
Nb 0.686 0.051 0.256
Nb 0.949 0.314 0.244
Re 0.349 0.651 0.250
Re 0.651 0.349 0.750
O 0.076 0.244 0.573
O 0.118 0.765 0.087
O 0.194 0.433 0.858
O 0.235 0.882 0.413
O 0.244 0.076 0.073
O 0.336 0.564 0.577
O 0.433 0.194 0.358
O 0.436 0.664 0.923
O 0.564 0.336 0.077
O 0.567 0.806 0.642
O 0.664 0.436 0.423
O 0.756 0.924 0.927
O 0.765 0.118 0.587
O 0.806 0.567 0.142
O 0.882 0.235 0.913
O 0.924 0.756 0.427

=====

# 8
Theoretical X-ray diffraction stick pattern of Sr3MgTi2O7 for CuKα, from a cell relaxed with PBE.
Peak positions follow from Bragg's law for the DFT cell and can differ from measured ones.

Largest 10 diffraction maxima, sorted by position, 2θ from 10° to 90°:
two_theta, d/Å, I_rel
25.12, 3.546, 49
28.27, 3.156, 39
31.78, 2.816, 100
32.38, 2.765, 77
32.91, 2.721, 59
33.02, 2.713, 62
38.01, 2.367, 25
41.91, 2.156, 26
47.31, 1.921, 73
57.69, 1.598, 19

Structural model:
Cell lengths 3.843, 3.843, 14.397 Å; angles 96.67, 96.67, 89.80 degrees
Element x y z (fractional)
Sr 0.000 0.000 0.000
Sr 0.566 0.566 0.196
Sr 0.683 0.683 0.468
Mg 0.801 0.801 0.737
Ti 0.122 0.122 0.326
Ti 0.256 0.256 0.633
O 0.064 0.064 0.196
O 0.131 0.631 0.347
O 0.200 0.200 0.505
O 0.272 0.771 0.667
O 0.470 0.470 0.033
O 0.631 0.131 0.347
O 0.771 0.272 0.667

=====

# 9
Theoretical X-ray diffraction stick pattern of Ti2Co3Ge for CuKα, from a cell relaxed with PBE.
Peak positions follow from Bragg's law for the DFT cell and can differ from measured ones.

Largest 10 diffraction maxima, sorted by position, 2θ from 10° to 90°:
two_theta, d/Å, I_rel
20.79, 4.272, 38
22.03, 4.034, 20
36.43, 2.466, 16
42.31, 2.136, 27
42.98, 2.104, 36
44.94, 2.017, 28
48.21, 1.888, 100
50.01, 1.824, 13
77.38, 1.233, 17
85.29, 1.138, 13

Structural model:
Cell lengths 4.933, 4.933, 4.034 Å; angles 90.00, 90.00, 120.00 degrees
Element x y z (fractional)
Ti 0.000 0.000 0.000
Ti 0.333 0.667 0.574
Co 0.502 0.005 0.080
Co 0.502 0.498 0.080
Co 0.995 0.498 0.080
Ge 0.667 0.333 0.579

=====

# 10
Theoretical X-ray diffraction stick pattern of PaCd for CuKα, from a cell relaxed with PBE.
Peak positions follow from Bragg's law for the DFT cell and can differ from measured ones.

Largest 10 diffraction maxima, sorted by position, 2θ from 10° to 90°:
two_theta, d/Å, I_rel
15.34, 5.777, 18
30.96, 2.888, 34
33.20, 2.698, 28
36.76, 2.445, 100
46.03, 1.972, 23
58.92, 1.567, 26
59.32, 1.558, 16
68.42, 1.371, 21
71.86, 1.314, 14
88.49, 1.105, 9

Structural model:
Cell lengths 3.116, 3.116, 5.777 Å; angles 90.00, 90.00, 120.00 degrees
Element x y z (fractional)
Pa 0.000 0.000 0.000
Cd 0.333 0.667 0.500